No. 1
# Dy4Zn5Ge6
Theoretical powder X-ray diffraction pattern, Cu Kα, 1.54184 Å. Input: a DFT-relaxed cell (PBE, Alexandria).

Cell and atoms:
a = 9.5356 Å, b = 9.5356 Å, c = 15.2934 Å
α = 90.00°, β = 90.00°, γ = 154.25°
Fractional positions:
Dy 0.0198 0.9802 0.5000
Dy 0.0333 0.9667 0.7645
Dy 0.1680 0.8320 0.3032
Dy 0.1753 0.8247 0.9458
Dy 0.8247 0.1753 0.4458
Dy 0.8320 0.1680 0.8032
Dy 0.9667 0.0333 0.2645
Dy 0.9802 0.0198 0.0000
Zn 0.1513 0.8487 0.6275
Zn 0.3008 0.6992 0.6249
Zn 0.3450 0.6550 0.2760
Zn 0.3497 0.6503 0.9820
Zn 0.4345 0.5655 0.6865
Zn 0.5655 0.4345 0.1865
Zn 0.6503 0.3497 0.4820
Zn 0.6550 0.3450 0.7760
Zn 0.6992 0.3008 0.1249
Zn 0.8487 0.1513 0.1275
Ge 0.1124 0.8876 0.1180
Ge 0.2226 0.7774 0.4865
Ge 0.2272 0.7728 0.7655
Ge 0.4312 0.5688 0.4094
Ge 0.4324 0.5676 0.1311
Ge 0.4399 0.5601 0.8556
Ge 0.5601 0.4399 0.3556
Ge 0.5676 0.4324 0.6311
Ge 0.5688 0.4312 0.9094
Ge 0.7728 0.2272 0.2655
Ge 0.7774 0.2226 0.9865
Ge 0.8876 0.1124 0.6180

The 8 most intense peaks (10 to 90 degrees two-theta), low angle first:
d/Å	2θ (°)	I_rel
2.809	31.85	405
2.798	31.98	288
2.752	32.53	344
2.583	34.72	255
2.550	35.20	266
2.453	36.64	1000
2.125	42.55	636
1.747	52.39	198

=====

No. 2
# Dy4H
Theoretical powder X-ray diffraction pattern, Cu Kα, 1.54184 Å. Input: a DFT-relaxed cell (PBE, Alexandria).

Cell and atoms:
a = 4.9785 Å, b = 4.9785 Å, c = 4.9785 Å
α = 90.00°, β = 90.00°, γ = 90.00°
Fractional positions:
Dy 0.0000 0.0000 0.0000
Dy 0.0000 0.5000 0.5000
Dy 0.5000 0.0000 0.5000
Dy 0.5000 0.5000 0.0000
H 0.5000 0.5000 0.5000

The 8 most intense peaks (10 to 90 degrees two-theta), low angle first:
d/Å	2θ (°)	I_rel
2.874	31.12	1000
2.489	36.08	511
1.760	51.95	362
1.501	61.81	427
1.437	64.88	124
1.245	76.54	58
1.142	84.90	179
1.113	87.66	169

=====

No. 3
# Dy3H2
Theoretical powder X-ray diffraction pattern, Cu Kα, 1.54184 Å. Input: a DFT-relaxed cell (PBE, Alexandria).

Cell and atoms:
a = 6.5906 Å, b = 6.5906 Å, c = 6.5906 Å
α = 56.93°, β = 56.93°, γ = 56.93°
Fractional positions:
Dy 0.0821 0.7500 0.4179
Dy 0.2500 0.5821 0.9179
Dy 0.4179 0.0821 0.7500
Dy 0.5821 0.9179 0.2500
Dy 0.7500 0.4179 0.0821
Dy 0.9179 0.2500 0.5821
H 0.1677 0.1677 0.1677
H 0.3323 0.3323 0.3323
H 0.6677 0.6677 0.6677
H 0.8323 0.8323 0.8323

The 8 most intense peaks (10 to 90 degrees two-theta), low angle first:
d/Å	2θ (°)	I_rel
3.141	28.42	236
2.751	32.54	225
2.728	32.83	1000
2.070	43.74	155
1.813	50.32	204
1.584	58.25	196
1.514	61.21	223
1.510	61.39	167

=====

No. 4
# Dy3HgH
Theoretical powder X-ray diffraction pattern, Cu Kα, 1.54184 Å. Input: a DFT-relaxed cell (PBE, Alexandria).

Cell and atoms:
a = 6.6915 Å, b = 3.5619 Å, c = 9.9639 Å
α = 90.00°, β = 99.37°, γ = 90.00°
Fractional positions:
Dy 0.0814 0.2500 0.3617
Dy 0.2305 0.2500 0.9130
Dy 0.3979 0.7500 0.6330
Dy 0.6021 0.2500 0.3670
Dy 0.7695 0.7500 0.0870
Dy 0.9186 0.7500 0.6383
Hg 0.2966 0.7500 0.1715
Hg 0.7034 0.2500 0.8285
H 0.1728 0.2500 0.6772
H 0.8272 0.7500 0.3228

The 8 most intense peaks (10 to 90 degrees two-theta), low angle first:
d/Å	2θ (°)	I_rel
2.986	29.92	219
2.974	30.05	234
2.884	31.01	1000
2.555	35.12	231
2.542	35.31	158
2.458	36.56	190
2.420	37.15	603
1.673	54.87	164